# 1
AcZn6Pt2: theoretical powder diffraction line list (Cu Kα (weighted mean of Kα1 and Kα2)), based on a GGA-PBE-relaxed structure.
Intensities are scaled so that the largest is 100.

Structural model:
```
AcZn6Pt2
1.0
4.175 0.000 0.000
0.000 4.175 0.000
0.000 0.000 9.416
Ac Zn Pt
1 6 2
Cartesian
0.000 0.000 0.000
0.000 0.000 4.708
0.000 2.087 2.954
0.000 2.087 6.462
2.087 0.000 2.954
2.087 0.000 6.462
2.087 2.087 4.708
2.087 2.087 1.369
2.087 2.087 8.047
```

Largest 12 diffraction maxima, by angle, 2θ from 10° to 90°:
| 2θ (°) | d_spacing | intensity |
| --- | --- | --- |
| 28.6 | 3.124 | 55 |
| 30.3 | 2.952 | 50 |
| 31.8 | 2.817 | 74 |
| 35.8 | 2.509 | 100 |
| 35.9 | 2.501 | 66 |
| 42.0 | 2.150 | 57 |
| 43.3 | 2.087 | 95 |
| 44.2 | 2.051 | 53 |
| 57.4 | 1.605 | 52 |
| 63.0 | 1.476 | 31 |
| 63.6 | 1.463 | 36 |
| 74.6 | 1.272 | 27 |

=====

# 2
Ac7ZnPt5: theoretical powder diffraction line list (Cu Kα (weighted mean of Kα1 and Kα2)), based on a GGA-PBE-relaxed structure.
Intensities are scaled so that the largest is 100.

Structural model:
```
Ac7ZnPt5
1.0
4.390 0.000 0.000
0.000 26.301 0.000
-2.192 0.000 7.322
Ac Zn Pt
14 2 10
Cartesian
-0.006 6.575 0.602
0.000 14.095 1.983
0.000 25.357 1.983
0.000 4.529 4.729
0.000 8.621 4.729
0.001 15.914 5.993
0.001 23.539 5.993
2.196 2.763 1.329
2.196 10.388 1.329
2.198 17.680 2.593
2.198 21.772 2.593
2.197 0.944 5.339
2.197 12.207 5.339
2.204 19.726 6.720
0.001 19.726 4.231
2.197 6.575 3.091
0.000 16.960 0.612
0.000 22.492 0.612
0.002 1.891 3.323
0.002 11.260 3.323
2.195 0.000 0.000
2.195 13.151 0.000
2.196 15.041 3.999
2.196 24.411 3.999
2.198 3.809 6.710
2.198 9.341 6.710
```

Largest 12 diffraction maxima, by angle, 2θ from 10° to 90°:
| 2θ (°) | d_spacing | intensity |
| --- | --- | --- |
| 26.7 | 3.343 | 77 |
| 27.5 | 3.239 | 25 |
| 28.2 | 3.168 | 95 |
| 29.2 | 3.059 | 100 |
| 29.8 | 2.999 | 42 |
| 30.6 | 2.924 | 24 |
| 40.5 | 2.230 | 46 |
| 40.8 | 2.212 | 83 |
| 41.1 | 2.195 | 50 |
| 42.4 | 2.130 | 26 |
| 49.7 | 1.835 | 29 |
| 51.6 | 1.771 | 28 |

=====

# 3
Ac3Zn4Pt4: theoretical powder diffraction line list (Cu Kα (weighted mean of Kα1 and Kα2)), based on a GGA-PBE-relaxed structure.
Intensities are scaled so that the largest is 100.

Structural model:
```
Ac3Zn4Pt4
1.0
4.191 0.000 0.000
-0.005 4.450 0.000
-2.073 -2.155 13.487
Ac Zn Pt
3 4 4
Cartesian
0.000 0.000 0.000
0.007 2.250 3.973
2.106 0.045 9.515
0.004 0.041 6.774
0.008 2.276 10.824
2.104 0.020 2.663
2.109 2.254 6.713
0.015 2.265 8.240
0.015 0.050 12.081
2.098 2.245 1.406
2.098 0.030 5.247
```

Largest 12 diffraction maxima, by angle, 2θ from 10° to 90°:
| 2θ (°) | d_spacing | intensity |
| --- | --- | --- |
| 30.0 | 2.976 | 86 |
| 31.5 | 2.837 | 100 |
| 32.2 | 2.782 | 75 |
| 32.3 | 2.774 | 25 |
| 40.5 | 2.225 | 51 |
| 42.0 | 2.152 | 25 |
| 42.2 | 2.143 | 25 |
| 43.2 | 2.096 | 43 |
| 49.0 | 1.860 | 28 |
| 52.1 | 1.754 | 25 |
| 52.4 | 1.747 | 24 |
| 60.7 | 1.526 | 31 |

=====

# 4
Ac2Zn5Pt5: theoretical powder diffraction line list (Cu Kα (weighted mean of Kα1 and Kα2)), based on a GGA-PBE-relaxed structure.
Intensities are scaled so that the largest is 100.

Structural model:
```
Ac2Zn5Pt5
1.0
4.305 0.000 0.000
0.000 5.491 0.000
0.000 0.000 9.810
Ac Zn Pt
2 5 5
Cartesian
0.000 0.000 0.000
0.000 2.746 4.905
2.152 0.000 4.905
2.152 1.384 2.440
2.152 1.384 7.370
2.152 4.108 2.440
2.152 4.108 7.370
0.000 0.000 3.254
0.000 0.000 6.556
0.000 2.746 1.756
0.000 2.746 8.054
2.152 2.746 0.000
```

Largest 12 diffraction maxima, by angle, 2θ from 10° to 90°:
| 2θ (°) | d_spacing | intensity |
| --- | --- | --- |
| 20.6 | 4.305 | 24 |
| 27.9 | 3.202 | 13 |
| 31.9 | 2.810 | 33 |
| 32.6 | 2.746 | 25 |
| 38.3 | 2.353 | 100 |
| 38.9 | 2.315 | 34 |
| 42.0 | 2.152 | 28 |
| 53.6 | 1.709 | 16 |
| 62.0 | 1.497 | 25 |
| 66.6 | 1.405 | 14 |
| 74.2 | 1.278 | 15 |
| 81.9 | 1.176 | 15 |

=====

# 5
AcPuRu4: theoretical powder diffraction line list (Cu Kα (weighted mean of Kα1 and Kα2)), based on a GGA-PBE-relaxed structure.
Intensities are scaled so that the largest is 100.

Structural model:
```
AcPuRu4
1.0
0.000 3.844 3.844
3.844 0.000 3.844
3.844 3.844 0.000
Ac Pu Ru
1 1 4
Cartesian
0.000 0.000 0.000
1.922 1.922 1.922
4.798 2.891 2.891
2.891 4.798 2.891
2.891 2.891 4.798
4.798 4.798 4.798
```

Largest 12 diffraction maxima, by angle, 2θ from 10° to 90°:
| 2θ (°) | d_spacing | intensity |
| --- | --- | --- |
| 20.0 | 4.439 | 7 |
| 33.0 | 2.718 | 58 |
| 38.8 | 2.318 | 100 |
| 40.6 | 2.220 | 18 |
| 51.8 | 1.764 | 2 |
| 58.8 | 1.569 | 23 |
| 62.8 | 1.480 | 33 |
| 69.1 | 1.359 | 25 |
| 72.8 | 1.300 | 2 |
| 78.7 | 1.216 | 10 |
| 82.2 | 1.173 | 12 |
| 83.4 | 1.159 | 6 |

=====

# 6
Ac2PuRu2: theoretical powder diffraction line list (Cu Kα (weighted mean of Kα1 and Kα2)), based on a GGA-PBE-relaxed structure.
Intensities are scaled so that the largest is 100.

Structural model:
```
Ac2PuRu2
1.0
5.310 -3.152 0.000
5.310 3.152 0.000
-1.470 0.000 7.903
Ac Pu Ru
4 2 4
Cartesian
1.397 0.748 1.206
0.662 -0.748 5.157
8.488 0.748 2.746
7.754 -0.748 6.698
4.943 0.678 1.976
4.208 -0.678 5.927
3.265 0.802 3.864
6.620 0.802 0.088
2.530 -0.802 7.815
5.885 -0.802 4.040
```

Largest 12 diffraction maxima, by angle, 2θ from 10° to 90°:
| 2θ (°) | d_spacing | intensity |
| --- | --- | --- |
| 29.3 | 3.048 | 62 |
| 29.7 | 3.009 | 29 |
| 30.5 | 2.928 | 100 |
| 30.8 | 2.905 | 49 |
| 33.2 | 2.701 | 43 |
| 34.1 | 2.627 | 66 |
| 36.2 | 2.483 | 53 |
| 36.5 | 2.461 | 45 |
| 47.5 | 1.915 | 32 |
| 50.7 | 1.801 | 28 |
| 53.3 | 1.719 | 40 |
| 60.0 | 1.542 | 32 |

=====

# 7
AcPu3S4: theoretical powder diffraction line list (Cu Kα (weighted mean of Kα1 and Kα2)), based on a GGA-PBE-relaxed structure.
Intensities are scaled so that the largest is 100.

Structural model:
```
AcPu3S4
1.0
5.777 0.000 0.000
0.000 5.777 0.000
0.000 0.000 5.777
Ac Pu S
1 3 4
Cartesian
0.000 0.000 0.000
0.000 2.888 2.888
2.888 0.000 2.888
2.888 2.888 0.000
0.000 0.000 2.888
0.000 2.888 0.000
2.888 0.000 0.000
2.888 2.888 2.888
```

Largest 10 diffraction maxima, by angle, 2θ from 10° to 90°:
| 2θ (°) | d_spacing | intensity |
| --- | --- | --- |
| 26.7 | 3.335 | 100 |
| 31.0 | 2.888 | 95 |
| 44.4 | 2.042 | 71 |
| 52.5 | 1.742 | 51 |
| 55.1 | 1.668 | 25 |
| 64.5 | 1.444 | 12 |
| 71.1 | 1.325 | 21 |
| 73.3 | 1.292 | 33 |
| 81.7 | 1.179 | 25 |
| 87.8 | 1.112 | 17 |

=====

# 8
AcPuS2: theoretical powder diffraction line list (Cu Kα (weighted mean of Kα1 and Kα2)), based on a GGA-PBE-relaxed structure.
Intensities are scaled so that the largest is 100.

Structural model:
```
AcPuS2
1.0
4.019 0.000 0.000
-2.009 3.480 0.000
0.000 0.000 21.902
Ac Pu S
3 3 6
Cartesian
0.000 0.000 0.000
0.000 2.320 14.602
2.009 1.160 7.301
0.000 0.000 3.815
0.000 2.320 18.416
2.009 1.160 11.116
0.000 0.000 12.648
0.000 0.000 16.712
0.000 2.320 5.348
0.000 2.320 9.411
2.009 1.160 2.110
2.009 1.160 19.949
```

Largest 12 diffraction maxima, by angle, 2θ from 10° to 90°:
| 2θ (°) | d_spacing | intensity |
| --- | --- | --- |
| 24.4 | 3.650 | 46 |
| 25.9 | 3.437 | 92 |
| 26.9 | 3.317 | 37 |
| 30.4 | 2.937 | 32 |
| 32.9 | 2.725 | 100 |
| 38.7 | 2.327 | 43 |
| 45.1 | 2.009 | 50 |
| 51.9 | 1.760 | 39 |
| 53.0 | 1.728 | 18 |
| 56.9 | 1.617 | 21 |
| 69.6 | 1.351 | 25 |
| 75.5 | 1.260 | 19 |

=====

# 9
Ac5PuS8: theoretical powder diffraction line list (Cu Kα (weighted mean of Kα1 and Kα2)), based on a GGA-PBE-relaxed structure.
Intensities are scaled so that the largest is 100.

Structural model:
```
Ac5PuS8
1.0
-4.483 4.483 4.468
4.483 -4.483 4.468
4.483 4.483 -4.468
Ac Pu S
5 1 8
Cartesian
0.000 0.000 0.000
2.233 3.343 -1.085
5.623 2.233 1.085
2.250 1.140 3.383
-1.140 2.250 5.553
0.000 4.483 2.234
5.135 2.870 -1.822
2.936 0.686 0.436
3.797 -1.547 4.031
-0.652 1.613 2.646
0.686 6.030 -0.436
2.870 3.832 1.822
1.613 0.652 6.290
1.547 3.797 4.904
```

Largest 12 diffraction maxima, by angle, 2θ from 10° to 90°:
| 2θ (°) | d_spacing | intensity |
| --- | --- | --- |
| 24.3 | 3.656 | 100 |
| 28.2 | 3.167 | 10 |
| 31.6 | 2.835 | 46 |
| 31.7 | 2.827 | 22 |
| 37.6 | 2.394 | 43 |
| 45.2 | 2.004 | 23 |
| 45.4 | 1.999 | 12 |
| 47.6 | 1.909 | 23 |
| 52.0 | 1.758 | 21 |
| 64.0 | 1.454 | 21 |
| 64.2 | 1.451 | 11 |
| 78.4 | 1.220 | 14 |

=====

# 10
AcPuSc: theoretical powder diffraction line list (Cu Kα (weighted mean of Kα1 and Kα2)), based on a GGA-PBE-relaxed structure.
Intensities are scaled so that the largest is 100.

Structural model:
```
AcPuSc
1.0
5.668 0.000 0.000
-2.834 4.909 0.000
0.000 0.000 3.380
Ac Pu Sc
1 1 1
Cartesian
0.000 0.000 0.000
2.834 1.636 1.690
0.000 3.273 0.000
```

Largest 12 diffraction maxima, by angle, 2θ from 10° to 90°:
| 2θ (°) | d_spacing | intensity |
| --- | --- | --- |
| 18.1 | 4.909 | 41 |
| 31.6 | 2.834 | 83 |
| 32.2 | 2.784 | 100 |
| 36.6 | 2.454 | 8 |
| 45.7 | 1.986 | 39 |
| 56.2 | 1.636 | 17 |
| 56.6 | 1.626 | 42 |
| 64.2 | 1.451 | 22 |
| 65.9 | 1.417 | 10 |
| 75.2 | 1.263 | 18 |
| 82.0 | 1.176 | 11 |
| 83.9 | 1.154 | 7 |

=====

# 11
Ac5Pu3Se8: theoretical powder diffraction line list (Cu Kα (weighted mean of Kα1 and Kα2)), based on a GGA-PBE-relaxed structure.
Intensities are scaled so that the largest is 100.

Structural model:
```
Ac5Pu3Se8
1.0
4.347 2.510 7.160
-4.347 2.510 7.160
0.000 -5.020 7.160
Ac Pu Se
5 3 8
Cartesian
0.000 0.000 0.000
-2.174 -1.255 7.160
-2.174 1.255 14.320
0.000 2.510 7.160
0.000 0.000 10.740
-4.347 0.000 10.740
-2.174 1.255 3.580
2.174 1.255 3.580
-2.238 -1.292 12.427
0.000 0.000 5.215
0.000 -2.584 9.053
-2.238 1.292 9.053
2.238 -1.292 12.427
0.000 2.584 12.427
0.000 0.000 16.265
2.238 1.292 9.053
```

Largest 12 diffraction maxima, by angle, 2θ from 10° to 90°:
| 2θ (°) | d_spacing | intensity |
| --- | --- | --- |
| 24.9 | 3.580 | 11 |
| 25.1 | 3.553 | 32 |
| 29.0 | 3.083 | 100 |
| 41.3 | 2.186 | 38 |
| 41.5 | 2.174 | 38 |
| 49.0 | 1.858 | 12 |
| 51.0 | 1.790 | 7 |
| 51.4 | 1.776 | 21 |
| 60.0 | 1.541 | 13 |
| 67.8 | 1.382 | 18 |
| 68.2 | 1.375 | 18 |
| 75.6 | 1.257 | 13 |

=====

# 12
AcPu2Si4: theoretical powder diffraction line list (Cu Kα (weighted mean of Kα1 and Kα2)), based on a GGA-PBE-relaxed structure.
Intensities are scaled so that the largest is 100.

Structural model:
```
AcPu2Si4
1.0
3.963 0.000 0.000
0.000 4.453 0.000
0.000 0.000 17.895
Ac Pu Si
2 4 8
Cartesian
0.000 0.000 0.000
1.981 2.226 8.948
0.000 2.226 5.613
0.000 2.226 12.282
1.981 0.000 3.335
1.981 0.000 14.561
0.000 0.000 7.701
0.000 0.000 10.194
0.000 2.226 2.627
0.000 2.226 15.269
1.981 0.000 6.321
1.981 0.000 11.574
1.981 2.226 1.246
1.981 2.226 16.649
```

Largest 12 diffraction maxima, by angle, 2θ from 10° to 90°:
| 2θ (°) | d_spacing | intensity |
| --- | --- | --- |
| 20.6 | 4.321 | 39 |
| 27.0 | 3.301 | 72 |
| 30.0 | 2.983 | 25 |
| 31.8 | 2.810 | 100 |
| 32.1 | 2.790 | 64 |
| 40.5 | 2.226 | 24 |
| 42.1 | 2.148 | 16 |
| 45.8 | 1.981 | 17 |
| 49.4 | 1.846 | 30 |
| 51.2 | 1.785 | 40 |
| 57.0 | 1.615 | 26 |
| 62.8 | 1.480 | 15 |

=====

# 13
Ac12PuSn7: theoretical powder diffraction line list (Cu Kα (weighted mean of Kα1 and Kα2)), based on a GGA-PBE-relaxed structure.
Intensities are scaled so that the largest is 100.

Structural model:
```
Ac12PuSn7
1.0
8.241 4.758 3.742
-8.241 4.758 3.742
0.000 -9.516 3.742
Ac Pu Sn
12 1 7
Cartesian
-0.699 -2.708 1.807
-1.995 1.959 1.807
-3.206 -3.342 5.623
-4.497 1.105 5.603
2.695 0.748 1.807
1.291 -4.447 5.603
-1.291 4.447 5.623
-2.695 -0.748 9.419
4.497 -1.105 5.623
3.206 3.342 5.603
1.995 -1.959 9.419
0.699 2.708 9.419
0.000 0.000 5.613
0.000 0.000 0.000
-2.435 -0.697 3.777
1.821 -1.760 3.777
0.614 2.457 3.777
-0.614 -2.457 7.449
-1.821 1.760 7.449
2.435 0.697 7.449
```

Largest 12 diffraction maxima, by angle, 2θ from 10° to 90°:
| 2θ (°) | d_spacing | intensity |
| --- | --- | --- |
| 23.8 | 3.736 | 58 |
| 27.6 | 3.235 | 100 |
| 39.4 | 2.288 | 78 |
| 46.6 | 1.951 | 29 |
| 48.7 | 1.871 | 7 |
| 48.8 | 1.867 | 21 |
| 56.9 | 1.618 | 13 |
| 62.5 | 1.486 | 6 |
| 64.4 | 1.447 | 36 |
| 71.3 | 1.323 | 7 |
| 71.5 | 1.320 | 20 |
| 76.5 | 1.245 | 6 |